Record 1
Computed powder diffractogram of KTl for a wavelength of 1.5418 Å, from a cell relaxed with PBE.
Intensities are scaled so that the largest is 100.

```
data_KTl
_chemical_formula_sum 'K24 Tl24'
_cell_length_a 15.665
_cell_length_b 15.470
_cell_length_c 8.254
_cell_angle_alpha 90.00
_cell_angle_beta 90.00
_cell_angle_gamma 90.00
_space_group_name_H-M_alt 'C m c e'
_space_group_IT_number 64
_space_group_name_Hall '-C 2ac 2'
loop_
_atom_site_label
_atom_site_type_symbol
_atom_site_fract_x
_atom_site_fract_y
_atom_site_fract_z
_atom_site_occupancy
K1 K 0.000 0.202 0.069 1
K2 K 0.175 0.000 0.000 1
K3 K 0.250 0.213 0.750 1
Tl1 Tl 0.000 0.046 0.707 1
Tl2 Tl 0.117 0.106 0.419 1
```

Top 10 peaks for 10 to 80 degrees two-theta, sorted by position:
d [Å]  intensity  hkl
7.832  33  2 0 0
7.735  37  0 2 0
6.604  100  1 1 1
3.302  20  2 2 2
3.218  34  4 2 1
2.845  48  4 0 2
2.752  26  4 4 0
2.592  27  0 2 3
2.462  25  0 6 1
2.245  19  5 3 2

=====

Record 2
Computed powder diffractogram of K8Tl11 for a wavelength of 1.5418 Å, from a cell relaxed with PBE.
Intensities are scaled so that the largest is 100.

```
data_K8Tl11
_chemical_formula_sum 'K48 Tl66'
_cell_length_a 10.2877
_cell_length_b 10.2877
_cell_length_c 52.0620
_cell_angle_alpha 90.00
_cell_angle_beta 90.00
_cell_angle_gamma 120.00
_space_group_name_H-M_alt 'R -3 c'
_space_group_IT_number 167
_space_group_name_Hall '-R 3 2"c'
loop_
_atom_site_label
_atom_site_type_symbol
_atom_site_fract_x
_atom_site_fract_y
_atom_site_fract_z
_atom_site_occupancy
K1 K 0.0000 0.0000 0.0788 1
K2 K 0.0292 0.2947 0.1449 1
Tl1 Tl 0.0000 0.0000 0.1980 1
Tl2 Tl 0.0000 0.2176 0.7500 1
Tl3 Tl 0.0096 0.3021 0.2184 1
```

Top 10 peaks for 10 to 80 degrees two-theta, sorted by position:
d [Å]  intensity  hkl
8.677  48  0 0 6
8.429  100  0 1 2
7.352  32  1 0 4
4.932  24  1 1 3
2.991  18  1 2 8
2.970  51  3 0 0
2.877  74  1 1 15
2.577  18  2 1 13
2.544  22  2 2 3
2.451  22  0 3 12